1.
The following is a calculated X-ray powder pattern of Rb2PtCCl6. It was derived from the PBE geometry in Alexandria, using Cu Kα.

The 10 most intense peaks (10 to 80 degrees two-theta), by angle:
hkl, two_theta, I_rel
1 0 1, 14.9, 98
2 0 0, 22.7, 58
1 1 2, 25.4, 100
1 0 3, 31.7, 40
2 2 0, 32.4, 74
2 1 3, 39.3, 27
3 1 2, 41.6, 45
3 2 1, 42.9, 24
3 2 3, 51.8, 26
2 2 4, 52.1, 26

Cell and atoms:
```
data_Rb2PtCCl6
_chemical_formula_sum 'Rb4 Pt2 C2 Cl12'
_cell_length_a 7.8190
_cell_length_b 7.8190
_cell_length_c 9.0939
_cell_angle_alpha 90.00
_cell_angle_beta 90.00
_cell_angle_gamma 90.00
_space_group_name_H-M_alt 'I 4/m m m'
_space_group_IT_number 139
_space_group_name_Hall '-I 4 2'
loop_
_atom_site_label
_atom_site_type_symbol
_atom_site_fract_x
_atom_site_fract_y
_atom_site_fract_z
_atom_site_occupancy
Rb1 Rb 0.0000 0.5000 0.2500 1
Pt1 Pt 0.0000 0.0000 0.0000 1
C1 C 0.0000 0.0000 0.5000 1
Cl1 Cl 0.0000 0.0000 0.3200 1
Cl2 Cl 0.2111 0.2111 0.0000 1
```

2.
The following is a calculated X-ray powder pattern of SmPuCCl. It was derived from the PBE geometry in Alexandria, using Cu Kα.

The 10 most intense peaks (10 to 80 degrees two-theta), by angle:
hkl, two_theta, I_rel
0 0 3, 12.2, 44
0 0 6, 24.6, 29
1 0 1, 28.7, 78
1 0 4, 33.0, 81
0 1 5, 35.3, 100
0 0 9, 37.3, 24
1 1 0, 50.3, 41
1 0 10, 51.1, 28
2 0 5, 63.0, 25
1 1 9, 64.3, 34

Cell and atoms:
```
data_SmPuCCl
_chemical_formula_sum 'Sm3 Pu3 C3 Cl3'
_cell_length_a 3.6252
_cell_length_b 3.6252
_cell_length_c 21.7229
_cell_angle_alpha 90.00
_cell_angle_beta 90.00
_cell_angle_gamma 120.00
_space_group_name_H-M_alt 'R 3 m'
_space_group_IT_number 160
_space_group_name_Hall 'R 3 -2"'
loop_
_atom_site_label
_atom_site_type_symbol
_atom_site_fract_x
_atom_site_fract_y
_atom_site_fract_z
_atom_site_occupancy
Sm1 Sm 0.0000 0.0000 0.0000 1
Pu1 Pu 0.0000 0.0000 0.2063 1
C1 C 0.0000 0.0000 0.6006 1
Cl1 Cl 0.0000 0.0000 0.7671 1
```

3.
The following is a calculated X-ray powder pattern of Rb3CCl6. It was derived from the PBE geometry in Alexandria, using Cu Kα.

The 10 most intense peaks (10 to 80 degrees two-theta), by angle:
hkl, two_theta, I_rel
2 0 0, 22.7, 50
1 1 2, 25.3, 79
2 1 1, 27.3, 21
2 0 2, 30.1, 84
2 2 0, 32.3, 100
2 1 3, 39.3, 24
0 0 4, 39.6, 26
3 1 2, 41.5, 34
4 0 0, 46.3, 30
2 2 4, 52.0, 40

Cell and atoms:
```
data_Rb3CCl6
_chemical_formula_sum 'Rb6 C2 Cl12'
_cell_length_a 7.8415
_cell_length_b 7.8415
_cell_length_c 9.0939
_cell_angle_alpha 90.00
_cell_angle_beta 90.00
_cell_angle_gamma 90.00
_space_group_name_H-M_alt 'I 4/m m m'
_space_group_IT_number 139
_space_group_name_Hall '-I 4 2'
loop_
_atom_site_label
_atom_site_type_symbol
_atom_site_fract_x
_atom_site_fract_y
_atom_site_fract_z
_atom_site_occupancy
Rb1 Rb 0.0000 0.0000 0.0000 1
Rb2 Rb 0.0000 0.5000 0.2500 1
C1 C 0.0000 0.0000 0.5000 1
Cl1 Cl 0.0000 0.0000 0.2900 1
Cl2 Cl 0.2173 0.2173 0.5000 1
```

4.
The following is a calculated X-ray powder pattern of RbC3Cl. It was derived from the PBE geometry in Alexandria, using Cu Kα.

The 10 most intense peaks (10 to 80 degrees two-theta), by angle:
hkl, two_theta, I_rel
1 0 0, 20.4, 12
1 1 0, 29.1, 100
1 1 1, 35.8, 21
2 0 0, 41.6, 34
2 1 0, 46.7, 8
2 1 1, 51.5, 38
2 2 0, 60.2, 20
3 1 0, 68.3, 16
3 1 1, 72.1, 7
2 2 2, 75.9, 7

Cell and atoms:
```
data_RbC3Cl
_chemical_formula_sum 'Rb1 C3 Cl1'
_cell_length_a 4.3449
_cell_length_b 4.3449
_cell_length_c 4.3449
_cell_angle_alpha 90.00
_cell_angle_beta 90.00
_cell_angle_gamma 90.00
_space_group_name_H-M_alt 'P m -3 m'
_space_group_IT_number 221
_space_group_name_Hall '-P 4 2 3'
loop_
_atom_site_label
_atom_site_type_symbol
_atom_site_fract_x
_atom_site_fract_y
_atom_site_fract_z
_atom_site_occupancy
Rb1 Rb 0.0000 0.0000 0.0000 1
C1 C 0.0000 0.5000 0.5000 1
Cl1 Cl 0.5000 0.5000 0.5000 1
```

5.
The following is a calculated X-ray powder pattern of Rb2TcCCl6. It was derived from the PBE geometry in Alexandria, using Cu Kα.

The 10 most intense peaks (10 to 80 degrees two-theta), by angle:
hkl, two_theta, I_rel
1 0 1, 15.1, 70
2 0 0, 23.1, 52
1 1 2, 25.5, 79
2 0 2, 30.4, 77
2 2 0, 32.9, 100
0 0 4, 39.6, 38
3 1 2, 42.1, 35
4 0 0, 47.3, 31
2 2 4, 52.5, 61
4 0 4, 63.3, 24

Cell and atoms:
```
data_Rb2TcCCl6
_chemical_formula_sum 'Rb4 Tc2 C2 Cl12'
_cell_length_a 7.6929
_cell_length_b 7.6929
_cell_length_c 9.0939
_cell_angle_alpha 90.00
_cell_angle_beta 90.00
_cell_angle_gamma 90.00
_space_group_name_H-M_alt 'I 4/m m m'
_space_group_IT_number 139
_space_group_name_Hall '-I 4 2'
loop_
_atom_site_label
_atom_site_type_symbol
_atom_site_fract_x
_atom_site_fract_y
_atom_site_fract_z
_atom_site_occupancy
Rb1 Rb 0.0000 0.5000 0.2500 1
Tc1 Tc 0.0000 0.0000 0.0000 1
C1 C 0.0000 0.0000 0.5000 1
Cl1 Cl 0.0000 0.0000 0.2647 1
Cl2 Cl 0.2209 0.2209 0.0000 1
```

6.
The following is a calculated X-ray powder pattern of Rb2TiCCl6. It was derived from the PBE geometry in Alexandria, using Cu Kα.

The 10 most intense peaks (10 to 80 degrees two-theta), by angle:
hkl, two_theta, I_rel
1 0 1, 14.9, 23
2 0 0, 22.6, 30
1 1 2, 25.3, 43
2 0 2, 30.1, 100
2 2 0, 32.2, 73
0 0 4, 39.6, 22
3 1 2, 41.4, 16
4 0 0, 46.2, 30
2 2 4, 52.0, 42
4 2 2, 56.1, 22

Cell and atoms:
```
data_Rb2TiCCl6
_chemical_formula_sum 'Rb4 Ti2 C2 Cl12'
_cell_length_a 7.8599
_cell_length_b 7.8599
_cell_length_c 9.0939
_cell_angle_alpha 90.00
_cell_angle_beta 90.00
_cell_angle_gamma 90.00
_space_group_name_H-M_alt 'I 4/m m m'
_space_group_IT_number 139
_space_group_name_Hall '-I 4 2'
loop_
_atom_site_label
_atom_site_type_symbol
_atom_site_fract_x
_atom_site_fract_y
_atom_site_fract_z
_atom_site_occupancy
Rb1 Rb 0.0000 0.5000 0.2500 1
Ti1 Ti 0.0000 0.0000 0.0000 1
C1 C 0.0000 0.0000 0.5000 1
Cl1 Cl 0.0000 0.0000 0.2605 1
Cl2 Cl 0.2149 0.2149 0.0000 1
```

7.
The following is a calculated X-ray powder pattern of Sc6C2SCl3. It was derived from the PBE geometry in Alexandria, using Cu Kα.

The 10 most intense peaks (10 to 80 degrees two-theta), by angle:
hkl, two_theta, I_rel
0 0 1, 13.9, 8
1 3 0, 29.5, 9
1 3 1, 34.8, 100
2 0 1, 37.6, 26
0 0 3, 42.7, 12
1 3 2, 44.5, 9
2 0 2, 48.4, 18
0 6 0, 51.6, 32
4 0 0, 63.8, 13
3 3 2, 69.2, 13

Cell and atoms:
```
data_Sc6C2SCl3
_chemical_formula_sum 'Sc12 C4 S2 Cl6'
_cell_length_a 6.1314
_cell_length_b 10.6246
_cell_length_c 6.6736
_cell_angle_alpha 90.00
_cell_angle_beta 107.83
_cell_angle_gamma 90.00
_space_group_name_H-M_alt 'C 1 2/m 1'
_space_group_IT_number 12
loop_
_space_group_symop_operation_xyz
'x,y,z'
'-x,-y,-z'
'-x,y,-z'
'x,-y,z'
'x+1/2,y+1/2,z'
'-x+1/2,-y+1/2,-z'
'-x+1/2,y+1/2,-z'
'x+1/2,-y+1/2,z'
loop_
_atom_site_label
_atom_site_type_symbol
_atom_site_fract_x
_atom_site_fract_y
_atom_site_fract_z
_atom_site_occupancy
Sc1 Sc 0.2014 0.0000 0.1832 1
Sc2 Sc 0.2408 0.3202 0.1831 1
C1 C 0.0000 0.1666 0.0000 1
S1 S 0.0000 0.5000 0.0000 1
Cl1 Cl 0.0000 0.0000 0.5000 1
Cl2 Cl 0.0000 0.3333 0.5000 1
```

8.
The following is a calculated X-ray powder pattern of Sc5CCl8. It was derived from the PBE geometry in Alexandria, using Cu Kα.

The 10 most intense peaks (10 to 80 degrees two-theta), by angle:
hkl, two_theta, I_rel
2 0 0, 12.6, 29
2 0 -2, 14.5, 43
4 0 1, 32.5, 22
3 1 -3, 33.5, 100
3 1 1, 36.6, 28
5 1 -1, 36.9, 36
6 0 0, 38.5, 41
5 1 -4, 39.5, 39
1 1 4, 50.6, 37
0 2 0, 51.5, 31

Cell and atoms:
```
data_Sc5CCl8
_chemical_formula_sum 'Sc10 C2 Cl16'
_cell_length_a 18.4204
_cell_length_b 3.5511
_cell_length_c 12.2457
_cell_angle_alpha 90.00
_cell_angle_beta 130.32
_cell_angle_gamma 90.00
_space_group_name_H-M_alt 'C 1 2/m 1'
_space_group_IT_number 12
loop_
_space_group_symop_operation_xyz
'x,y,z'
'-x,-y,-z'
'-x,y,-z'
'x,-y,z'
'x+1/2,y+1/2,z'
'-x+1/2,-y+1/2,-z'
'-x+1/2,y+1/2,-z'
'x+1/2,-y+1/2,z'
loop_
_atom_site_label
_atom_site_type_symbol
_atom_site_fract_x
_atom_site_fract_y
_atom_site_fract_z
_atom_site_occupancy
Sc1 Sc 0.0000 0.0000 0.0000 1
Sc2 Sc 0.0068 0.5000 0.3825 1
Sc3 Sc 0.1577 0.0000 0.6649 1
C1 C 0.0000 0.0000 0.5000 1
Cl1 Cl 0.0166 0.0000 0.2251 1
Cl2 Cl 0.1290 0.5000 0.1128 1
Cl3 Cl 0.1755 0.5000 0.8306 1
Cl4 Cl 0.1918 0.5000 0.5537 1
```

9.
The following is a calculated X-ray powder pattern of SmScCCl. It was derived from the PBE geometry in Alexandria, using Cu Kα.

The 10 most intense peaks (10 to 80 degrees two-theta), by angle:
hkl, two_theta, I_rel
0 0 3, 13.1, 75
0 0 6, 26.3, 21
1 0 1, 29.4, 85
0 1 2, 30.4, 21
1 0 4, 34.1, 85
0 1 5, 36.7, 100
0 0 9, 39.9, 22
1 1 0, 51.5, 39
1 0 10, 54.1, 27
1 1 9, 67.1, 37

Cell and atoms:
```
data_SmScCCl
_chemical_formula_sum 'Sm3 Sc3 C3 Cl3'
_cell_length_a 3.5477
_cell_length_b 3.5477
_cell_length_c 20.3368
_cell_angle_alpha 90.00
_cell_angle_beta 90.00
_cell_angle_gamma 120.00
_space_group_name_H-M_alt 'R 3 m'
_space_group_IT_number 160
_space_group_name_Hall 'R 3 -2"'
loop_
_atom_site_label
_atom_site_type_symbol
_atom_site_fract_x
_atom_site_fract_y
_atom_site_fract_z
_atom_site_occupancy
Sm1 Sm 0.0000 0.0000 0.0000 1
Sc1 Sc 0.0000 0.0000 0.2094 1
C1 C 0.0000 0.0000 0.5944 1
Cl1 Cl 0.0000 0.0000 0.7788 1
```

10.
The following is a calculated X-ray powder pattern of Sm3CCl3. It was derived from the PBE geometry in Alexandria, using Cu Kα.

The 10 most intense peaks (10 to 80 degrees two-theta), by angle:
hkl, two_theta, I_rel
1 1 0, 11.4, 66
2 2 2, 28.2, 63
3 2 1, 30.5, 48
4 0 0, 32.6, 100
3 3 2, 38.5, 27
4 4 0, 46.8, 63
6 2 2, 55.5, 22
4 4 4, 58.2, 19
7 2 1, 62.1, 21
8 4 0, 77.8, 20

Cell and atoms:
```
data_Sm3CCl3
_chemical_formula_sum 'Sm24 C8 Cl24'
_cell_length_a 10.9772
_cell_length_b 10.9772
_cell_length_c 10.9772
_cell_angle_alpha 90.00
_cell_angle_beta 90.00
_cell_angle_gamma 90.00
_space_group_name_H-M_alt 'I 41 3 2'
_space_group_IT_number 214
_space_group_name_Hall 'I 4bd 2c 3'
loop_
_atom_site_label
_atom_site_type_symbol
_atom_site_fract_x
_atom_site_fract_y
_atom_site_fract_z
_atom_site_occupancy
Sm1 Sm 0.1077 0.3577 0.1250 1
C1 C 0.1250 0.1250 0.1250 1
Cl1 Cl 0.1188 0.1312 0.6250 1
```